(1)
Computed powder diffractogram of ZrGa6Fe5Co for Cu Kα, 1.54184 Å, from a GGA-PBE-relaxed structure.

Principal peaks in the range 10° ≤ 2θ ≤ 80°, in order of falling intensity:
- 2θ 47.04, I 100, hkl 2 2 2
- 2θ 42.59, I 97, hkl 1 3 2
- 2θ 41.43, I 92, hkl 2 0 2
- 2θ 42.04, I 82, hkl 1 2 3
- 2θ 41.87, I 76, hkl 2 2 0
- 2θ 41.66, I 64, hkl 0 0 4
- 2θ 43.40, I 48, hkl 0 4 0
- 2θ 36.92, I 43, hkl 1 3 0
- 2θ 48.43, I 43, hkl 0 4 2
- 2θ 75.89, I 33, hkl 2 0 6
- 2θ 47.26, I 31, hkl 0 2 4
- 2θ 29.68, I 28, hkl 0 2 2

Cell and atoms:
abc: 5.043 8.340 8.671
angles: 90.00 90.00 90.00
Space group Imm2 (No. 44)
Asymmetric unit:
Zr (0.000, 0.000, 0.000) x2
Ga (0.000, 0.295, 0.502) x4
Ga (0.248, 0.246, 0.752) x8
Fe (0.000, 0.000, 0.363) x2
Fe (0.000, 0.363, 0.002) x4
Fe (0.000, 0.500, 0.284) x2
Fe (0.000, 0.500, 0.728) x2
Co (0.000, 0.000, 0.635) x2

(2)
Computed powder diffractogram of ZrGa6FeCo5 for Cu Kα, 1.54184 Å, from a GGA-PBE-relaxed structure.

Principal peaks in the range 10° ≤ 2θ ≤ 80°, in order of falling intensity:
- 2θ 47.52, I 100, hkl 2 2 2
- 2θ 41.51, I 75, hkl 2 0 2
- 2θ 42.66, I 70, hkl 1 2 3
- 2θ 43.64, I 70, hkl 1 3 2
- 2θ 42.31, I 55, hkl 2 2 0
- 2θ 41.98, I 54, hkl 0 0 4
- 2θ 45.09, I 43, hkl 0 4 0
- 2θ 38.01, I 33, hkl 1 3 0
- 2θ 47.94, I 29, hkl 0 2 4
- 2θ 36.01, I 27, hkl 1 0 3
- 2θ 76.35, I 26, hkl 2 0 6
- 2θ 35.61, I 22, hkl 2 0 0

Cell and atoms:
abc: 5.043 8.043 8.609
angles: 90.00 90.00 90.00
Space group Imm2 (No. 44)
Asymmetric unit:
Zr (0.000, 0.000, 0.000) x2
Ga (0.000, 0.285, 0.498) x4
Ga (0.250, 0.248, 0.748) x8
Fe (0.000, 0.500, 0.717) x2
Co (0.000, 0.000, 0.353) x2
Co (0.000, 0.000, 0.644) x2
Co (0.000, 0.349, 0.996) x4
Co (0.000, 0.500, 0.282) x2

(3)
Computed powder diffractogram of Fe3Co3Ge2 for Cu Kα, 1.54184 Å, from a GGA-PBE-relaxed structure.

Principal peaks in the range 10° ≤ 2θ ≤ 80°, in order of falling intensity:
- 2θ 44.81, I 100, hkl 1 1 0
- 2θ 65.23, I 15, hkl 2 0 8
- 2θ 40.98, I 1, hkl 0 0 9
- 2θ 62.33, I 1, hkl 1 1 9
- 2θ 26.99, I 1, hkl 0 0 6
- 2θ 31.27, I 1, hkl 1 0 4
- 2θ 53.09, I 1, hkl 1 0 10

Cell and atoms:
abc: 4.0449 4.0449 19.8239
angles: 90.00 90.00 120.00
Space group R3m (No. 160, hexagonal axes)
Asymmetric unit:
Fe (0.0000, 0.0000, 0.0000) x3
Fe (0.0000, 0.0000, 0.2447) x3
Fe (0.0000, 0.0000, 0.4956) x3
Co (0.0000, 0.0000, 0.3663) x3
Co (0.0000, 0.0000, 0.7508) x3
Co (0.0000, 0.0000, 0.8780) x3
Ge (0.0000, 0.0000, 0.1217) x3
Ge (0.0000, 0.0000, 0.6247) x3